Entry 1:
Diffraction record for Mg6CdFeO8. The X-ray diffraction stick pattern is theoretical, not measured: it uses DFT lattice parameters and positions (PBE+U) and λ = 1.5418 Å (Cu Kα).
Lines closer than 0.1° are merged.

Structural model:
a b c (Å): 4.3880 4.3880 8.6865
angles (deg): 90.00 90.00 90.00
Space group P4/mmm (No. 123)
One atom of each set of equivalent atoms:
Mg1 0.0000 0.0000 0.0000 (multiplicity 1)
Mg2 0.0000 0.0000 0.5000 (multiplicity 1)
Mg3 0.0000 0.5000 0.2439 (multiplicity 4)
Cd1 0.5000 0.5000 0.5000 (multiplicity 1)
Fe1 0.5000 0.5000 0.0000 (multiplicity 1)
O1 0.0000 0.0000 0.2506 (multiplicity 2)
O2 0.0000 0.5000 0.0000 (multiplicity 2)
O3 0.0000 0.5000 0.5000 (multiplicity 2)
O4 0.5000 0.5000 0.2357 (multiplicity 2)

Largest 10 diffraction maxima, sorted by position, 2θ from 10° to 90°:
- hkl 1 0 0, d = 4.388 Å, I 45.8
- hkl 0 0 2, d = 4.343 Å, I 22.7
- hkl 1 1 0, d = 3.103 Å, I 19.4
- hkl 1 0 2, d = 3.087 Å, I 38.6
- hkl 1 1 2, d = 2.525 Å, I 56.1
- hkl 2 0 0, d = 2.194 Å, I 100.0
- hkl 0 0 4, d = 2.172 Å, I 47.7
- hkl 2 2 0, d = 1.551 Å, I 29.2
- hkl 2 0 4, d = 1.543 Å, I 56.6
- hkl 2 2 4, d = 1.262 Å, I 26.4

=====

Entry 2:
Diffraction record for MgCd2FeO4. The X-ray diffraction stick pattern is theoretical, not measured: it uses DFT lattice parameters and positions (PBE+U) and λ = 1.5418 Å (Cu Kα).
Lines closer than 0.1° are merged.

Structural model:
a b c (Å): 9.0272 9.1872 6.4232
angles (deg): 90.00 134.35 90.00
Space group C2/c (No. 15)
One atom of each set of equivalent atoms:
Mg1 0.0000 0.0000 0.0000 (multiplicity 4)
Cd1 0.0000 0.5000 0.0000 (multiplicity 4)
Cd2 0.2500 0.2500 0.0000 (multiplicity 4)
Fe1 0.2500 0.2500 0.5000 (multiplicity 4)
O1 0.0096 0.2372 0.4897 (multiplicity 8)
O2 0.2284 0.0040 0.4776 (multiplicity 8)

Largest 10 diffraction maxima, sorted by position, 2θ from 10° to 90°:
- hkl 1 1 0, d = 5.277 Å, I 52.2
- hkl 1 3 0, d = 2.765 Å, I 27.3
- hkl 2 2 0, d = 2.641 Å, I 65.5
- hkl 2 2 -2, d = 2.632 Å, I 64.7
- hkl 0 4 0, d = 2.297 Å, I 100.0
- hkl 4 0 -2, d = 2.257 Å, I 46.9
- hkl 0 4 2, d = 1.624 Å, I 30.7
- hkl 4 4 -2, d = 1.610 Å, I 29.5
- hkl 2 6 0, d = 1.384 Å, I 19.5
- hkl 2 6 -2, d = 1.381 Å, I 18.2